Computed powder XRD pattern of Y5Ho3In2 for Cu Kα, 1.54184 Å, from a GGA-PBE-relaxed structure.
No peak broadening, texture or thermal motion is included.

Most intense lines, 2θ from 5° to 70°, sorted by position:
2theta	I_rel
8.9	43
22.6	20
26.1	50
30.1	96
30.4	100
34.8	61
36.2	20
40.0	78
53.7	23
66.5	22

Cell and atoms:
Cell lengths 10.6238, 10.6238, 10.6238 Å; angles 105.81, 84.56, 145.32 degrees
Positions (direct):
Y  0.1666  0.1229  0.2895
Y  0.2500  0.2500  0.0000
Y  0.2500  0.5005  0.2505
Y  0.2500  0.9995  0.7495
Y  0.3334  0.6229  0.9563
Y  0.6666  0.3771  0.0437
Y  0.7500  0.0005  0.2505
Y  0.7500  0.4995  0.7495
Y  0.7500  0.7500  0.0000
Y  0.8334  0.8771  0.7105
Ho  0.2214  0.3916  0.6129
Ho  0.2500  0.7500  0.5000
Ho  0.2786  0.8916  0.1702
Ho  0.7214  0.1084  0.8298
Ho  0.7500  0.2500  0.5000
Ho  0.7786  0.6084  0.3871
In  0.1452  0.6340  0.7792
In  0.3548  0.1340  0.4888
In  0.6452  0.8660  0.5112
In  0.8548  0.3660  0.2208